The following is a theoretical powder diffraction line list of KMg14GaO16. It was derived from the GGA-PBE geometry in the Materials Project, using Cu Ka.

Structure:
Cell lengths 8.6029, 8.6029, 4.3925 Å; angles 90.00, 90.00, 90.00 degrees
Atoms (fractional coordinates):
K 0.0000 0.0000 0.0000
Mg 0.0000 0.2494 0.5000
Mg 0.0000 0.5000 0.0000
Mg 0.0000 0.7506 0.5000
Mg 0.2473 0.2473 0.0000
Mg 0.2470 0.5000 0.5000
Mg 0.2473 0.7527 0.0000
Mg 0.2494 0.0000 0.5000
Mg 0.5000 0.0000 0.0000
Mg 0.5000 0.2470 0.5000
Mg 0.5000 0.7530 0.5000
Mg 0.7506 0.0000 0.5000
Mg 0.7527 0.2473 0.0000
Mg 0.7530 0.5000 0.5000
Mg 0.7527 0.7527 0.0000
Ga 0.5000 0.5000 0.0000
O 0.0000 0.0000 0.5000
O 0.0000 0.2766 0.0000
O 0.0000 0.5000 0.5000
O 0.0000 0.7234 0.0000
O 0.2515 0.2515 0.5000
O 0.2515 0.7485 0.5000
O 0.2660 0.5000 0.0000
O 0.2766 0.0000 0.0000
O 0.5000 0.0000 0.5000
O 0.5000 0.2660 0.0000
O 0.5000 0.5000 0.5000
O 0.5000 0.7340 0.0000
O 0.7234 0.0000 0.0000
O 0.7340 0.5000 0.0000
O 0.7485 0.2515 0.5000
O 0.7485 0.7485 0.5000

Top 10 peaks for 2θ = 10–90°, sorted by position:
2θ (°)	I (rel.)
10.28	8
14.56	9
25.00	6
35.91	28
41.10	55
42.01	100
60.22	59
60.92	28
72.78	12
76.13	26

---

The following is a theoretical powder diffraction line list of K2NaGaP2. It was derived from the GGA-PBE geometry in the Materials Project, using Cu Ka.

Structure:
Cell lengths 8.6592, 8.6592, 8.6592 Å; angles 134.80, 64.64, 136.36 degrees
Atoms (fractional coordinates):
K 0.1746 0.2467 0.4214
K 0.3253 0.7467 0.0721
K 0.6746 0.2533 0.9279
K 0.8254 0.7533 0.5786
Na 0.2500 0.2500 0.0000
Na 0.7500 0.7500 0.0000
Ga 0.2500 0.7500 0.5000
Ga 0.7500 0.2500 0.5000
P 0.0919 0.6990 0.7910
P 0.4081 0.1990 0.6071
P 0.5919 0.8010 0.3929
P 0.9081 0.3010 0.2090

Top 10 peaks for 2θ = 10–90°, sorted by position:
2θ (°)	I (rel.)
12.09	91
14.62	90
29.49	62
30.34	53
31.16	100
36.50	54
37.20	56
38.93	94
51.23	21
54.68	21

---

The following is a theoretical powder diffraction line list of KGaP4O12. It was derived from the GGA-PBE geometry in the Materials Project, using Cu Ka.

Structure:
Cell lengths 10.5266, 10.5266, 5.2210 Å; angles 98.75, 98.75, 72.36 degrees
Atoms (fractional coordinates):
K 0.0929 0.0929 0.2397
K 0.9071 0.9071 0.7603
Ga 0.0000 0.5000 0.5000
Ga 0.5000 0.0000 0.5000
P 0.1450 0.7007 0.3362
P 0.1912 0.4314 0.0335
P 0.2993 0.8550 0.6639
P 0.4314 0.1912 0.0335
P 0.5686 0.8088 0.9665
P 0.7007 0.1450 0.3362
P 0.8088 0.5686 0.9665
P 0.8550 0.2993 0.6639
O 0.0697 0.8227 0.2111
O 0.0732 0.6506 0.5142
O 0.1007 0.3996 0.1986
O 0.1567 0.4124 0.7429
O 0.1773 0.9303 0.7889
O 0.2084 0.5774 0.1219
O 0.2846 0.7154 0.5000
O 0.3428 0.3428 0.1025
O 0.3494 0.9268 0.4858
O 0.3996 0.1007 0.1986
O 0.4124 0.1567 0.7429
O 0.4226 0.7916 0.8781
O 0.5774 0.2084 0.1219
O 0.5876 0.8433 0.2571
O 0.6004 0.8993 0.8014
O 0.6506 0.0732 0.5142
O 0.6572 0.6572 0.8975
O 0.7154 0.2846 0.5000
O 0.7916 0.4226 0.8781
O 0.8227 0.0697 0.2111
O 0.8433 0.5876 0.2571
O 0.8993 0.6004 0.8014
O 0.9268 0.3494 0.4858
O 0.9303 0.1773 0.7889

Top 10 peaks for 2θ = 10–90°, sorted by position:
2θ (°)	I (rel.)
10.60	69
14.25	100
17.47	33
22.47	88
24.85	21
26.30	34
27.67	21
28.76	33
33.72	38
33.76	20

---

The following is a theoretical powder diffraction line list of KGaSe4O12. It was derived from the GGA-PBE geometry in the Materials Project, using Cu Ka.

Structure:
Cell lengths 7.6286, 5.2942, 5.2942 Å; angles 92.03, 90.00, 90.00 degrees
Atoms (fractional coordinates):
K 0.0000 0.0000 0.0000
Ga 0.5000 0.4639 0.4639
Se 0.2478 0.4812 0.9913
Se 0.2478 0.9913 0.4812
Se 0.7522 0.4812 0.9913
Se 0.7522 0.9913 0.4812
O 0.0000 0.5088 0.9183
O 0.0000 0.9183 0.5088
O 0.2082 0.3013 0.3013
O 0.2705 0.1744 0.7862
O 0.2705 0.7862 0.1744
O 0.3222 0.6579 0.6579
O 0.5000 0.0919 0.4442
O 0.5000 0.4442 0.0919
O 0.6778 0.6579 0.6579
O 0.7295 0.1744 0.7862
O 0.7295 0.7862 0.1744
O 0.7918 0.3013 0.3013

Top 10 peaks for 2θ = 10–90°, sorted by position:
2θ (°)	I (rel.)
20.43	39
23.34	63
24.21	29
33.24	60
33.88	100
39.33	20
47.72	41
59.80	54
61.01	26
71.27	18

---

Please write out number 2 again, unchanged.
The following is a theoretical powder diffraction line list of K2NaGaP2. It was derived from the GGA-PBE geometry in the Materials Project, using Cu Ka.

Structure:
Cell lengths 8.6592, 8.6592, 8.6592 Å; angles 134.80, 64.64, 136.36 degrees
Atoms (fractional coordinates):
K 0.1746 0.2467 0.4214
K 0.3253 0.7467 0.0721
K 0.6746 0.2533 0.9279
K 0.8254 0.7533 0.5786
Na 0.2500 0.2500 0.0000
Na 0.7500 0.7500 0.0000
Ga 0.2500 0.7500 0.5000
Ga 0.7500 0.2500 0.5000
P 0.0919 0.6990 0.7910
P 0.4081 0.1990 0.6071
P 0.5919 0.8010 0.3929
P 0.9081 0.3010 0.2090

Top 10 peaks for 2θ = 10–90°, sorted by position:
2θ (°)	I (rel.)
12.09	91
14.62	90
29.49	62
30.34	53
31.16	100
36.50	54
37.20	56
38.93	94
51.23	21
54.68	21

---

Question: Which formula does entry 2 have?
Answer: K2NaGaP2

---

Question: Which formula does entry 1 have?
Answer: KMg14GaO16